The following is a theoretical powder diffractogram of RbAs3N. It was derived from a structure optimized by DFT (GGA-PBE), using copper Kα.

The 7 most intense peaks (15° ≤ 2θ ≤ 90°), by angle:
27.04°, d = 3.297 Å, I 2; 33.28°, d = 2.692 Å, I 100; 38.62°, d = 2.332 Å, I 59; 55.76°, d = 1.649 Å, I 39; 66.50°, d = 1.406 Å, I 40; 69.88°, d = 1.346 Å, I 13; 82.80°, d = 1.166 Å, I 6

```
data_RbAs3N
_chemical_formula_sum 'Rb1 As3 N1'
_space_group_name_H-M_alt 'P 1'
_space_group_IT_number 1
_space_group_name_Hall 'P 1'
_cell_length_a 4.663
_cell_length_b 4.663
_cell_length_c 4.663
_cell_angle_alpha 90.00
_cell_angle_beta 90.00
_cell_angle_gamma 90.00
loop_
_atom_site_label
_atom_site_type_symbol
_atom_site_fract_x
_atom_site_fract_y
_atom_site_fract_z
Rb1 Rb 0.000 0.000 0.000
As1 As 0.000 0.500 0.500
As2 As 0.500 0.000 0.500
As3 As 0.500 0.500 0.000
N1 N 0.500 0.500 0.500
```

The following is a theoretical powder diffractogram of AsS2N2. It was derived from a structure optimized by DFT (GGA-PBE), using copper Kα.

The 10 most intense peaks (15° ≤ 2θ ≤ 90°), by angle:
22.38°, d = 3.973 Å, I 24; 31.91°, d = 2.804 Å, I 60; 39.33°, d = 2.291 Å, I 100; 45.67°, d = 1.986 Å, I 44; 45.87°, d = 1.979 Å, I 22; 56.80°, d = 1.621 Å, I 20; 66.58°, d = 1.405 Å, I 13; 66.73°, d = 1.402 Å, I 26; 80.16°, d = 1.197 Å, I 24; 84.61°, d = 1.145 Å, I 13

```
data_AsS2N2
_chemical_formula_sum 'As1 S2 N2'
_space_group_name_H-M_alt 'P 1'
_space_group_IT_number 1
_space_group_name_Hall 'P 1'
_cell_length_a 3.973
_cell_length_b 3.973
_cell_length_c 3.957
_cell_angle_alpha 90.00
_cell_angle_beta 90.00
_cell_angle_gamma 90.00
loop_
_atom_site_label
_atom_site_type_symbol
_atom_site_fract_x
_atom_site_fract_y
_atom_site_fract_z
As1 As 0.000 0.000 0.000
S1 S 0.000 0.500 0.500
S2 S 0.500 0.000 0.500
N1 N 0.500 0.500 0.000
N2 N 0.500 0.500 0.500
```

The following is a theoretical powder diffractogram of AsSN. It was derived from a structure optimized by DFT (GGA-PBE), using copper Kα.

The 10 most intense peaks (15° ≤ 2θ ≤ 90°), by angle:
18.68°, d = 4.750 Å, I 100; 21.23°, d = 4.185 Å, I 76; 21.47°, d = 4.140 Å, I 29; 22.77°, d = 3.905 Å, I 24; 26.28°, d = 3.391 Å, I 37; 28.66°, d = 3.115 Å, I 16; 29.22°, d = 3.056 Å, I 17; 31.17°, d = 2.870 Å, I 38; 37.20°, d = 2.417 Å, I 20; 40.63°, d = 2.221 Å, I 29

```
data_AsSN
_chemical_formula_sum 'As2 S2 N2'
_space_group_name_H-M_alt 'P 1'
_space_group_IT_number 1
_space_group_name_Hall 'P 1'
_cell_length_a 4.790
_cell_length_b 4.817
_cell_length_c 7.620
_cell_angle_alpha 84.88
_cell_angle_beta 85.68
_cell_angle_gamma 82.50
loop_
_atom_site_label
_atom_site_type_symbol
_atom_site_fract_x
_atom_site_fract_y
_atom_site_fract_z
As1 As 0.209 0.492 0.389
As2 As 0.791 0.508 0.611
S1 S 0.022 0.246 0.829
S2 S 0.978 0.754 0.171
N1 N 0.154 0.895 0.314
N2 N 0.846 0.105 0.686
```

The following is a theoretical powder diffractogram of SbAs2N. It was derived from a structure optimized by DFT (GGA-PBE), using copper Kα.

The 10 most intense peaks (15° ≤ 2θ ≤ 90°), by angle:
27.61°, d = 3.230 Å, I 100; 27.90°, d = 3.198 Å, I 51; 37.68°, d = 2.387 Å, I 62; 41.55°, d = 2.173 Å, I 17; 43.64°, d = 2.074 Å, I 12; 45.21°, d = 2.006 Å, I 39; 52.03°, d = 1.758 Å, I 16; 55.53°, d = 1.655 Å, I 15; 66.20°, d = 1.412 Å, I 13; 67.35°, d = 1.390 Å, I 11

```
data_SbAs2N
_chemical_formula_sum 'Sb2 As4 N2'
_space_group_name_H-M_alt 'P 1'
_space_group_IT_number 1
_space_group_name_Hall 'P 1'
_cell_length_a 7.068
_cell_length_b 7.068
_cell_length_c 7.068
_cell_angle_alpha 134.64
_cell_angle_beta 134.64
_cell_angle_gamma 66.08
loop_
_atom_site_label
_atom_site_type_symbol
_atom_site_fract_x
_atom_site_fract_y
_atom_site_fract_z
Sb1 Sb 0.000 0.000 0.000
Sb2 Sb 0.750 0.250 0.500
As1 As 0.243 0.625 0.118
As2 As 0.375 0.493 0.618
As3 As 0.507 0.125 0.882
As4 As 0.875 0.757 0.382
N1 N 0.250 0.750 0.500
N2 N 0.500 0.500 0.000
```

The following is a theoretical powder diffractogram of ScAs2N. It was derived from a structure optimized by DFT (GGA-PBE), using copper Kα.

The 10 most intense peaks (15° ≤ 2θ ≤ 90°), by angle:
31.44°, d = 2.845 Å, I 100; 34.92°, d = 2.570 Å, I 63; 38.64°, d = 2.330 Å, I 11; 41.82°, d = 2.160 Å, I 17; 46.17°, d = 1.966 Å, I 16; 49.18°, d = 1.853 Å, I 14; 53.25°, d = 1.720 Å, I 14; 55.58°, d = 1.653 Å, I 14; 57.32°, d = 1.607 Å, I 23; 66.49°, d = 1.406 Å, I 16

```
data_ScAs2N
_chemical_formula_sum 'Sc2 As4 N2'
_space_group_name_H-M_alt 'P 1'
_space_group_IT_number 1
_space_group_name_Hall 'P 1'
_cell_length_a 5.741
_cell_length_b 5.741
_cell_length_c 5.741
_cell_angle_alpha 115.71
_cell_angle_beta 115.71
_cell_angle_gamma 97.61
loop_
_atom_site_label
_atom_site_type_symbol
_atom_site_fract_x
_atom_site_fract_y
_atom_site_fract_z
Sc1 Sc 0.000 0.000 0.000
Sc2 Sc 0.750 0.250 0.500
As1 As 0.213 0.625 0.088
As2 As 0.375 0.463 0.588
As3 As 0.537 0.125 0.912
As4 As 0.875 0.787 0.412
N1 N 0.250 0.750 0.500
N2 N 0.500 0.500 0.000
```

The following is a theoretical powder diffractogram of SiAsN. It was derived from a structure optimized by DFT (GGA-PBE), using copper Kα.

The 10 most intense peaks (15° ≤ 2θ ≤ 90°), by angle:
15.43°, d = 5.744 Å, I 100; 23.13°, d = 3.846 Å, I 40; 27.96°, d = 3.191 Å, I 19; 31.19°, d = 2.867 Å, I 65; 32.09°, d = 2.790 Å, I 63; 35.00°, d = 2.564 Å, I 42; 38.13°, d = 2.360 Å, I 41; 42.34°, d = 2.135 Å, I 54; 47.27°, d = 1.923 Å, I 23; 59.32°, d = 1.558 Å, I 18

```
data_SiAsN
_chemical_formula_sum 'Si2 As2 N2'
_space_group_name_H-M_alt 'P 1'
_space_group_IT_number 1
_space_group_name_Hall 'P 1'
_cell_length_a 3.733
_cell_length_b 5.211
_cell_length_c 5.744
_cell_angle_alpha 89.90
_cell_angle_beta 89.96
_cell_angle_gamma 83.49
loop_
_atom_site_label
_atom_site_type_symbol
_atom_site_fract_x
_atom_site_fract_y
_atom_site_fract_z
Si1 Si 0.000 0.000 0.226
Si2 Si 0.000 0.000 0.774
As1 As 0.216 0.296 0.500
As2 As 0.784 0.704 0.500
N1 N 0.325 0.960 0.000
N2 N 0.675 0.040 0.000
```

The following is a theoretical powder diffractogram of Sr12As5N2. It was derived from a structure optimized by DFT (GGA-PBE), using copper Kα.

The 10 most intense peaks (15° ≤ 2θ ≤ 90°), by angle:
19.67°, d = 4.513 Å, I 42; 21.32°, d = 4.168 Å, I 34; 24.35°, d = 3.655 Å, I 48; 29.48°, d = 3.030 Å, I 100; 31.32°, d = 2.856 Å, I 78; 32.63°, d = 2.744 Å, I 67; 33.34°, d = 2.688 Å, I 94; 36.68°, d = 2.450 Å, I 33; 45.76°, d = 1.983 Å, I 33; 63.94°, d = 1.456 Å, I 39

```
data_Sr12As5N2
_chemical_formula_sum 'Sr12 As5 N2'
_space_group_name_H-M_alt 'P 1'
_space_group_IT_number 1
_space_group_name_Hall 'P 1'
_cell_length_a 9.460
_cell_length_b 9.460
_cell_length_c 9.799
_cell_angle_alpha 105.00
_cell_angle_beta 105.00
_cell_angle_gamma 49.57
loop_
_atom_site_label
_atom_site_type_symbol
_atom_site_fract_x
_atom_site_fract_y
_atom_site_fract_z
Sr1 Sr 0.001 0.001 0.185
Sr2 Sr 0.080 0.596 0.917
Sr3 Sr 0.100 0.601 0.428
Sr4 Sr 0.399 0.900 0.572
Sr5 Sr 0.404 0.920 0.083
Sr6 Sr 0.496 0.496 0.176
Sr7 Sr 0.504 0.504 0.824
Sr8 Sr 0.596 0.080 0.917
Sr9 Sr 0.601 0.100 0.428
Sr10 Sr 0.900 0.399 0.572
Sr11 Sr 0.920 0.404 0.083
Sr12 Sr 0.999 0.999 0.815
As1 As 0.186 0.186 0.839
As2 As 0.193 0.193 0.349
As3 As 0.500 0.500 0.500
As4 As 0.807 0.807 0.651
As5 As 0.814 0.814 0.161
N1 N 0.254 0.746 0.000
N2 N 0.746 0.254 0.000
```

The following is a theoretical powder diffractogram of Te2AsN2. It was derived from a structure optimized by DFT (GGA-PBE), using copper Kα.

The 10 most intense peaks (15° ≤ 2θ ≤ 90°), by angle:
21.04°, d = 4.222 Å, I 32; 27.39°, d = 3.257 Å, I 40; 28.13°, d = 3.172 Å, I 46; 29.07°, d = 3.072 Å, I 45; 31.04°, d = 2.881 Å, I 100; 32.55°, d = 2.751 Å, I 32; 35.23°, d = 2.547 Å, I 35; 38.22°, d = 2.355 Å, I 36; 43.79°, d = 2.067 Å, I 30; 47.36°, d = 1.920 Å, I 49

```
data_Te2AsN2
_chemical_formula_sum 'Te2 As1 N2'
_space_group_name_H-M_alt 'P 1'
_space_group_IT_number 1
_space_group_name_Hall 'P 1'
_cell_length_a 3.847
_cell_length_b 3.847
_cell_length_c 12.735
_cell_angle_alpha 95.19
_cell_angle_beta 95.19
_cell_angle_gamma 59.89
loop_
_atom_site_label
_atom_site_type_symbol
_atom_site_fract_x
_atom_site_fract_y
_atom_site_fract_z
Te1 Te 0.195 0.195 0.142
Te2 Te 0.805 0.805 0.858
As1 As 0.500 0.500 0.000
N1 N 0.439 0.439 0.467
N2 N 0.561 0.561 0.533
```

The following is a theoretical powder diffractogram of Th4As5N. It was derived from a structure optimized by DFT (GGA-PBE), using copper Kα.

The 10 most intense peaks (15° ≤ 2θ ≤ 90°), by angle:
19.77°, d = 4.490 Å, I 34; 22.77°, d = 3.905 Å, I 30; 25.91°, d = 3.439 Å, I 45; 27.18°, d = 3.281 Å, I 83; 29.85°, d = 2.994 Å, I 53; 33.25°, d = 2.694 Å, I 100; 39.30°, d = 2.293 Å, I 41; 41.60°, d = 2.171 Å, I 97; 41.82°, d = 2.160 Å, I 37; 45.34°, d = 2.000 Å, I 29

```
data_Th4As5N
_chemical_formula_sum 'Th4 As5 N1'
_space_group_name_H-M_alt 'P 1'
_space_group_IT_number 1
_space_group_name_Hall 'P 1'
_cell_length_a 9.922
_cell_length_b 9.922
_cell_length_c 7.445
_cell_angle_alpha 111.98
_cell_angle_beta 111.98
_cell_angle_gamma 23.26
loop_
_atom_site_label
_atom_site_type_symbol
_atom_site_fract_x
_atom_site_fract_y
_atom_site_fract_z
Th1 Th 0.000 0.000 0.215
Th2 Th 0.000 0.000 0.785
Th3 Th 0.300 0.300 0.800
Th4 Th 0.700 0.700 0.200
As1 As 0.162 0.162 0.447
As2 As 0.162 0.162 0.878
As3 As 0.500 0.500 0.500
As4 As 0.838 0.838 0.122
As5 As 0.838 0.838 0.553
N1 N 0.500 0.500 0.000
```

The following is a theoretical powder diffractogram of TmUAsN2. It was derived from a structure optimized by DFT (GGA-PBE), using copper Kα.

The 10 most intense peaks (15° ≤ 2θ ≤ 90°), by angle:
15.10°, d = 5.869 Å, I 11; 24.60°, d = 3.619 Å, I 21; 32.84°, d = 2.727 Å, I 100; 33.31°, d = 2.690 Å, I 44; 45.76°, d = 1.983 Å, I 10; 47.82°, d = 1.902 Å, I 20; 58.32°, d = 1.582 Å, I 19; 59.23°, d = 1.560 Å, I 38; 68.85°, d = 1.364 Å, I 10; 79.45°, d = 1.206 Å, I 8

```
data_TmUAsN2
_chemical_formula_sum 'Tm1 U1 As1 N2'
_space_group_name_H-M_alt 'P 1'
_space_group_IT_number 1
_space_group_name_Hall 'P 1'
_cell_length_a 6.456
_cell_length_b 6.456
_cell_length_c 6.456
_cell_angle_alpha 145.73
_cell_angle_beta 145.73
_cell_angle_gamma 49.25
loop_
_atom_site_label
_atom_site_type_symbol
_atom_site_fract_x
_atom_site_fract_y
_atom_site_fract_z
Tm1 Tm 0.000 0.000 0.000
U1 U 0.312 0.312 0.000
As1 As 0.662 0.662 0.000
N1 N 0.396 0.896 0.500
N2 N 0.896 0.396 0.500
```

The following is a theoretical powder diffractogram of U5As5N. It was derived from a structure optimized by DFT (GGA-PBE), using copper Kα.

The 10 most intense peaks (15° ≤ 2θ ≤ 90°), by angle:
27.36°, d = 3.259 Å, I 33; 28.21°, d = 3.164 Å, I 29; 31.90°, d = 2.806 Å, I 100; 32.78°, d = 2.732 Å, I 45; 39.02°, d = 2.308 Å, I 16; 45.30°, d = 2.002 Å, I 14; 45.73°, d = 1.984 Å, I 33; 46.38°, d = 1.958 Å, I 34; 56.46°, d = 1.630 Å, I 15; 58.33°, d = 1.582 Å, I 14

```
data_U5As5N
_chemical_formula_sum 'U5 As5 N1'
_space_group_name_H-M_alt 'P 1'
_space_group_IT_number 1
_space_group_name_Hall 'P 1'
_cell_length_a 6.945
_cell_length_b 6.945
_cell_length_c 7.663
_cell_angle_alpha 107.36
_cell_angle_beta 107.36
_cell_angle_gamma 47.68
loop_
_atom_site_label
_atom_site_type_symbol
_atom_site_fract_x
_atom_site_fract_y
_atom_site_fract_z
U1 U 0.000 0.000 0.000
U2 U 0.350 0.350 0.703
U3 U 0.355 0.355 0.141
U4 U 0.645 0.645 0.859
U5 U 0.650 0.650 0.297
As1 As 0.155 0.155 0.810
As2 As 0.188 0.188 0.333
As3 As 0.500 0.500 0.500
As4 As 0.812 0.812 0.667
As5 As 0.845 0.845 0.190
N1 N 0.500 0.500 0.000
```

The following is a theoretical powder diffractogram of YUAsN2. It was derived from a structure optimized by DFT (GGA-PBE), using copper Kα.

The 10 most intense peaks (15° ≤ 2θ ≤ 90°), by angle:
24.47°, d = 3.638 Å, I 29; 32.55°, d = 2.751 Å, I 100; 33.15°, d = 2.702 Å, I 43; 36.53°, d = 2.460 Å, I 8; 45.36°, d = 1.999 Å, I 10; 47.59°, d = 1.911 Å, I 20; 57.69°, d = 1.598 Å, I 19; 58.84°, d = 1.569 Å, I 37; 68.18°, d = 1.375 Å, I 10; 78.94°, d = 1.213 Å, I 8

```
data_YUAsN2
_chemical_formula_sum 'Y1 U1 As1 N2'
_space_group_name_H-M_alt 'P 1'
_space_group_IT_number 1
_space_group_name_Hall 'P 1'
_cell_length_a 6.530
_cell_length_b 6.530
_cell_length_c 6.530
_cell_angle_alpha 145.97
_cell_angle_beta 145.97
_cell_angle_gamma 48.89
loop_
_atom_site_label
_atom_site_type_symbol
_atom_site_fract_x
_atom_site_fract_y
_atom_site_fract_z
Y1 Y 0.000 0.000 0.000
U1 U 0.310 0.310 0.000
As1 As 0.661 0.661 0.000
N1 N 0.391 0.891 0.500
N2 N 0.891 0.391 0.500
```

The following is a theoretical powder diffractogram of V6AsN. It was derived from a structure optimized by DFT (GGA-PBE), using copper Kα.

The 10 most intense peaks (15° ≤ 2θ ≤ 90°), by angle:
31.04°, d = 2.881 Å, I 29; 33.02°, d = 2.713 Å, I 46; 36.32°, d = 2.474 Å, I 31; 38.76°, d = 2.323 Å, I 100; 40.21°, d = 2.243 Å, I 92; 41.42°, d = 2.180 Å, I 64; 42.09°, d = 2.147 Å, I 30; 49.80°, d = 1.831 Å, I 50; 53.87°, d = 1.702 Å, I 32; 64.04°, d = 1.454 Å, I 28

```
data_V6AsN
_chemical_formula_sum 'V6 As1 N1'
_space_group_name_H-M_alt 'P 1'
_space_group_IT_number 1
_space_group_name_Hall 'P 1'
_cell_length_a 5.044
_cell_length_b 5.049
_cell_length_c 5.538
_cell_angle_alpha 89.79
_cell_angle_beta 66.94
_cell_angle_gamma 60.23
loop_
_atom_site_label
_atom_site_type_symbol
_atom_site_fract_x
_atom_site_fract_y
_atom_site_fract_z
V1 V 0.054 0.046 0.236
V2 V 0.274 0.225 0.774
V3 V 0.323 0.426 0.184
V4 V 0.677 0.574 0.816
V5 V 0.726 0.775 0.226
V6 V 0.946 0.954 0.764
As1 As 0.500 0.500 0.500
N1 N 0.500 0.000 0.000
```

The following is a theoretical powder diffractogram of YAsN. It was derived from a structure optimized by DFT (GGA-PBE), using copper Kα.

The 10 most intense peaks (15° ≤ 2θ ≤ 90°), by angle:
18.58°, d = 4.775 Å, I 18; 27.61°, d = 3.231 Å, I 33; 28.04°, d = 3.182 Å, I 34; 32.54°, d = 2.752 Å, I 48; 38.61°, d = 2.332 Å, I 100; 42.08°, d = 2.147 Å, I 11; 54.14°, d = 1.694 Å, I 16; 55.30°, d = 1.661 Å, I 14; 63.91°, d = 1.457 Å, I 14; 68.76°, d = 1.365 Å, I 12

```
data_YAsN
_chemical_formula_sum 'Y4 As4 N4'
_space_group_name_H-M_alt 'P 1'
_space_group_IT_number 1
_space_group_name_Hall 'P 1'
_cell_length_a 19.098
_cell_length_b 3.433
_cell_length_c 3.368
_cell_angle_alpha 90.00
_cell_angle_beta 90.00
_cell_angle_gamma 90.00
loop_
_atom_site_label
_atom_site_type_symbol
_atom_site_fract_x
_atom_site_fract_y
_atom_site_fract_z
Y1 Y 0.184 0.250 0.235
Y2 Y 0.316 0.750 0.735
Y3 Y 0.684 0.250 0.265
Y4 Y 0.816 0.750 0.765
As1 As 0.029 0.250 0.731
As2 As 0.471 0.750 0.231
As3 As 0.529 0.250 0.769
As4 As 0.971 0.750 0.269
N1 N 0.194 0.750 0.735
N2 N 0.306 0.250 0.235
N3 N 0.694 0.750 0.765
N4 N 0.806 0.250 0.265
```